For Mg14GaSi, a DFT-relaxed cell (PBE, the Materials Project) gives the calculated PXRD pattern in this record (Cu Ka).

Main lines, sorted by position (2θ from 10° to 90°):
2θ/deg, Rel. int., h k l
33.15, 24.6, 2 0 0
35.08, 27.0, 0 0 4
37.65, 100.0, 2 0 2
59.23, 16.7, 2 2 0
64.63, 19.1, 2 0 6
70.73, 19.1, 2 2 4

Cell: 6.2405 6.2405 10.2315 Å, 90.00 90.00 120.00°
Space group P-6m2 (No. 187)
Asymmetric unit:
Mg 0.0000 0.0000 0.2503 (multiplicity 2)
Mg 0.0022 0.5011 0.2496 (multiplicity 6)
Mg 0.3327 0.1664 0.0000 (multiplicity 3)
Mg 0.3336 0.1668 0.5000 (multiplicity 3)
Ga 0.3333 0.6667 0.5000 (multiplicity 1)
Si 0.3333 0.6667 0.0000 (multiplicity 1)